1.
Theoretical powder XRD pattern of NdCuAg2Se4 for λ = 1.5418 Å (Cu Kα), from a PBE-relaxed structure.

Cell and atoms:
abc: 4.0845 13.8540 12.9964
angles: 90.00 90.00 90.00
Space group Cmcm (No. 63)
Unique sites:
Nd: 0.0000 0.0930 0.2500
Cu: 0.0000 0.1664 0.7500
Ag: 0.0000 0.3734 0.0575
Se: 0.0000 0.0000 0.0000
Se: 0.0000 0.3002 0.6264
Se: 0.0000 0.4324 0.2500

Top 10 peaks for 2θ from 10° to 90°, by intensity:
30.01 deg, rel. 100, hkl 1 3 1; 32.34 deg, rel. 73, hkl 1 3 2; 41.73 deg, rel. 69, hkl 0 0 6; 44.36 deg, rel. 42, hkl 2 0 0; 30.39 deg, rel. 34, hkl 0 2 4; 29.19 deg, rel. 32, hkl 1 3 0; 44.72 deg, rel. 27, hkl 1 5 3; 68.70 deg, rel. 24, hkl 1 9 3; 45.81 deg, rel. 24, hkl 1 3 5; 44.46 deg, rel. 23, hkl 0 6 3

2.
Theoretical powder XRD pattern of CdHg for λ = 1.5418 Å (Cu Kα), from a PBE-relaxed structure.

Cell and atoms:
abc: 13.2399 3.2384 7.2748
angles: 90.00 90.00 90.00
Space group Pmn2_1 (No. 31)
Unique sites:
Cd: 0.0000 0.0069 0.0000
Cd: 0.1142 0.5015 0.3051
Hg: 0.0000 0.5087 0.6578
Hg: 0.2368 0.0007 0.0203

Top 10 peaks for 2θ from 10° to 90°, by intensity:
37.17 deg, rel. 100, hkl 0 1 2; 36.71 deg, rel. 90, hkl 4 0 2; 30.74 deg, rel. 74, hkl 2 1 0; 30.97 deg, rel. 56, hkl 1 1 1; 27.99 deg, rel. 51, hkl 2 0 2; 23.58 deg, rel. 51, hkl 3 0 1; 46.00 deg, rel. 46, hkl 5 1 1; 65.24 deg, rel. 46, hkl 4 1 4; 26.94 deg, rel. 44, hkl 4 0 0; 37.71 deg, rel. 42, hkl 1 0 3

3.
Theoretical powder XRD pattern of Dy3ThSe4 for λ = 1.5418 Å (Cu Kα), from a PBE-relaxed structure.

Cell and atoms:
abc: 4.0343 4.0343 27.8901
angles: 90.00 90.00 120.00
Space group P6_3/mmc (No. 194)
Unique sites:
Dy: 0.0000 0.0000 0.0000
Dy: 0.3333 0.6667 0.1217
Th: 0.3333 0.6667 0.7500
Se: 0.0000 0.0000 0.1816
Se: 0.3333 0.6667 0.5606

Top 10 peaks for 2θ from 10° to 90°, by intensity:
30.18 deg, rel. 100, hkl 1 0 5; 32.05 deg, rel. 79, hkl 1 0 6; 44.94 deg, rel. 71, hkl 1 1 0; 44.13 deg, rel. 43, hkl 1 0 11; 27.27 deg, rel. 39, hkl 1 0 3; 71.54 deg, rel. 33, hkl 1 1 16; 41.43 deg, rel. 23, hkl 1 0 10; 55.09 deg, rel. 19, hkl 2 0 5; 56.26 deg, rel. 16, hkl 2 0 6; 73.73 deg, rel. 16, hkl 2 1 5

4.
Theoretical powder XRD pattern of LaPrHo4Er2 for λ = 1.5418 Å (Cu Kα), from a PBE-relaxed structure.

Cell and atoms:
abc: 7.1620 7.1700 11.5356
angles: 89.98 89.97 60.06
Space group P-1 (No. 2)
Unique sites:
La: 0.0000 0.0000 0.0000
La: 0.0000 0.5000 0.0000
Pr: 0.0000 0.0000 0.5000
Pr: 0.5000 0.0000 0.0000
Ho: 0.1666 0.1683 0.7470
Ho: 0.1669 0.6669 0.7473
Ho: 0.3327 0.3326 0.2529
Ho: 0.3336 0.8322 0.2527
Er: 0.0000 0.5000 0.5000
Er: 0.5000 0.0000 0.5000
Er: 0.5000 0.5000 0.0000
Er: 0.5000 0.5000 0.5000

Top 10 peaks for 2θ from 10° to 90°, by intensity:
32.76 deg, rel. 100, hkl 0 2 -2; 29.81 deg, rel. 47, hkl 2 2 1; 31.01 deg, rel. 35, hkl 0 0 4; 60.86 deg, rel. 31, hkl 4 2 4; 50.96 deg, rel. 26, hkl 4 2 0; 37.23 deg, rel. 26, hkl 2 2 -3; 56.29 deg, rel. 22, hkl 0 2 -6; 61.91 deg, rel. 13, hkl 4 0 2; 49.21 deg, rel. 12, hkl 2 2 5; 86.65 deg, rel. 11, hkl 4 2 8

5.
Theoretical powder XRD pattern of Zr2Si7Rh12 for λ = 1.5418 Å (Cu Kα), from a PBE-relaxed structure.

Cell and atoms:
abc: 9.6740 9.6740 3.8062
angles: 90.00 90.00 120.00
Space group P-3 (No. 147)
Unique sites:
Zr: 0.3333 0.6667 0.2493
Si: 0.0000 0.0000 0.0000
Si: 0.1139 0.7090 0.7490
Rh: 0.0677 0.4470 0.7485
Rh: 0.1209 0.2646 0.2462

Top 10 peaks for 2θ from 10° to 90°, by intensity:
36.93 deg, rel. 100, hkl 3 -2 1; 47.29 deg, rel. 17, hkl 3 2 0; 47.79 deg, rel. 16, hkl 0 0 2; 49.88 deg, rel. 15, hkl 1 4 0; 28.18 deg, rel. 13, hkl 2 1 0; 45.75 deg, rel. 12, hkl 1 3 1; 81.78 deg, rel. 10, hkl 2 1 3; 84.94 deg, rel. 9, hkl 8 -5 1; 71.57 deg, rel. 9, hkl 1 4 2; 69.51 deg, rel. 9, hkl 5 -3 2